TiRe: theoretical powder XRD pattern (Cu Kα, 1.54184 Å), based on DFT lattice parameters and positions (PBE).
Intensities are scaled so that the largest is 100.

Atomic structure:
a = 7.1375 Å, b = 7.1375 Å, c = 3.1119 Å
α = 90.00°, β = 90.00°, γ = 144.68°
Fractional coordinates of all 6 atoms:
Ti  0.0000  0.0000  0.0000
Ti  0.1715  0.8285  0.5000
Ti  0.8285  0.1715  0.5000
Re  0.3372  0.6628  0.0000
Re  0.5000  0.5000  0.5000
Re  0.6628  0.3372  0.0000

The 8 most intense peaks (10 to 90 degrees two-theta), most intense first:
d/Å	2θ/deg	Rel. int.
2.207	40.88	100
4.127	21.53	42
2.267	39.76	27
2.165	41.71	24
1.297	72.93	17
1.566	58.99	17
1.258	75.58	16
2.830	31.62	13